The following is a simulated powder X-ray diffraction pattern of Li2MnCoP2O8. It was derived from a GGA+U-relaxed structure, using Cu Kα X-rays.

Structural model:
Cell: 4.775 6.075 10.454 Å, 90.09 90.02 90.01°
Positions (direct):
Li  0.000  0.000  0.000
Li  0.001  0.499  0.999
Li  0.497  0.502  0.498
Li  0.500  0.000  0.500
Mn  0.019  0.751  0.722
Mn  0.981  0.250  0.278
Co  0.479  0.750  0.217
Co  0.525  0.251  0.780
P  0.091  0.250  0.598
P  0.420  0.250  0.089
P  0.581  0.749  0.910
P  0.910  0.750  0.403
O  0.206  0.253  0.459
O  0.226  0.451  0.669
O  0.231  0.750  0.396
O  0.233  0.046  0.664
O  0.260  0.750  0.908
O  0.288  0.046  0.160
O  0.288  0.453  0.161
O  0.295  0.250  0.952
O  0.708  0.748  0.048
O  0.713  0.953  0.840
O  0.714  0.546  0.839
O  0.742  0.249  0.092
O  0.769  0.247  0.604
O  0.770  0.548  0.333
O  0.771  0.953  0.334
O  0.793  0.749  0.541

Largest 10 diffraction maxima, by angle, 10° ≤ 2θ ≤ 90°:
d = 5.228 Å, I 322; d = 4.343 Å, I 559; d = 3.532 Å, I 901; d = 3.038 Å, I 631; d = 2.815 Å, I 251; d = 2.554 Å, I 1000; d = 2.489 Å, I 287; d = 2.172 Å, I 197; d = 1.767 Å, I 357; d = 1.644 Å, I 235

The following is a simulated powder X-ray diffraction pattern of Li5Mn3Co2P6O24. It was derived from a GGA+U-relaxed structure, using Cu Kα X-rays.

Structural model:
Cell: 8.237 8.296 8.772 Å, 115.74 95.02 116.01°
Positions (direct):
Li  0.000  0.000  0.000
Li  0.057  0.800  0.325
Li  0.153  0.297  0.351
Li  0.644  0.867  0.075
Li  0.934  0.207  0.831
Mn  0.203  0.654  0.877
Mn  0.481  0.026  0.552
Mn  0.694  0.625  0.376
Co  0.347  0.337  0.723
Co  0.819  0.304  0.174
P  0.092  0.877  0.673
P  0.265  0.545  0.175
P  0.421  0.128  0.250
P  0.570  0.803  0.740
P  0.792  0.543  0.952
P  0.883  0.107  0.459
O  0.023  0.014  0.784
O  0.089  0.355  0.165
O  0.097  0.285  0.581
O  0.178  0.813  0.781
O  0.232  0.115  0.201
O  0.235  0.489  0.972
O  0.243  0.015  0.611
O  0.266  0.746  0.293
O  0.424  0.934  0.117
O  0.431  0.656  0.802
O  0.448  0.843  0.635
O  0.455  0.565  0.242
O  0.469  0.183  0.450
O  0.587  0.355  0.815
O  0.596  0.317  0.253
O  0.640  0.674  0.614
O  0.727  0.014  0.915
O  0.751  0.110  0.574
O  0.813  0.754  0.009
O  0.829  0.522  0.120
O  0.841  0.140  0.304
O  0.861  0.888  0.379
O  0.938  0.669  0.488
O  0.940  0.513  0.861

Largest 10 diffraction maxima, by angle, 10° ≤ 2θ ≤ 90°:
d = 5.726 Å, I 243; d = 4.369 Å, I 1000; d = 3.905 Å, I 541; d = 3.669 Å, I 374; d = 3.500 Å, I 670; d = 2.863 Å, I 372; d = 2.842 Å, I 402; d = 2.703 Å, I 267; d = 2.678 Å, I 300; d = 2.521 Å, I 549

The following is a simulated powder X-ray diffraction pattern of Li6Mn3CoP6O24. It was derived from a GGA+U-relaxed structure, using Cu Kα X-rays.

Structural model:
Cell: 8.212 8.508 8.532 Å, 61.99 62.62 64.05°
Positions (direct):
Li  0.000  0.000  0.000
Li  0.065  0.322  0.241
Li  0.199  0.452  0.657
Li  0.327  0.083  0.947
Li  0.574  0.455  0.731
Li  0.746  0.802  0.374
Mn  0.244  0.587  0.202
Mn  0.362  0.856  0.504
Mn  0.743  0.078  0.720
Co  0.798  0.416  0.023
P  0.041  0.954  0.342
P  0.066  0.680  0.894
P  0.075  0.246  0.606
P  0.518  0.783  0.816
P  0.547  0.172  0.112
P  0.573  0.485  0.390
O  0.077  0.586  0.099
O  0.110  0.114  0.171
O  0.113  0.437  0.471
O  0.119  0.198  0.782
O  0.187  0.097  0.508
O  0.204  0.815  0.431
O  0.275  0.671  0.749
O  0.314  0.799  0.964
O  0.376  0.326  0.169
O  0.451  0.571  0.259
O  0.497  0.342  0.577
O  0.517  0.872  0.609
O  0.533  0.975  0.256
O  0.546  0.185  0.921
O  0.577  0.638  0.447
O  0.590  0.908  0.841
O  0.640  0.580  0.847
O  0.742  0.185  0.082
O  0.779  0.417  0.267
O  0.859  0.273  0.645
O  0.860  0.021  0.492
O  0.942  0.880  0.871
O  0.998  0.835  0.279
O  0.999  0.554  0.866

Largest 10 diffraction maxima, by angle, 10° ≤ 2θ ≤ 90°:
d = 6.222 Å, I 344; d = 5.925 Å, I 509; d = 4.248 Å, I 340; d = 4.101 Å, I 345; d = 3.762 Å, I 1000; d = 3.735 Å, I 377; d = 3.675 Å, I 326; d = 3.498 Å, I 396; d = 2.814 Å, I 383; d = 2.510 Å, I 326

The following is a simulated powder X-ray diffraction pattern of Li5Mn2Co2P4O16. It was derived from a GGA+U-relaxed structure, using Cu Kα X-rays.

Structural model:
Cell: 4.862 6.232 10.478 Å, 87.62 88.74 89.33°
Positions (direct):
Li  0.000  0.000  0.000
Li  0.017  0.496  0.998
Li  0.399  0.013  0.371
Li  0.508  0.494  0.498
Li  0.626  0.970  0.627
Mn  0.064  0.712  0.718
Mn  0.962  0.271  0.280
Co  0.477  0.724  0.205
Co  0.547  0.260  0.793
P  0.118  0.232  0.592
P  0.422  0.238  0.097
P  0.603  0.744  0.901
P  0.907  0.752  0.406
O  0.222  0.738  0.395
O  0.223  0.253  0.450
O  0.237  0.019  0.652
O  0.259  0.421  0.661
O  0.281  0.440  0.157
O  0.286  0.730  0.900
O  0.303  0.222  0.961
O  0.306  0.045  0.182
O  0.718  0.939  0.816
O  0.721  0.760  0.037
O  0.739  0.249  0.097
O  0.747  0.543  0.841
O  0.766  0.563  0.336
O  0.788  0.965  0.345
O  0.802  0.731  0.548
O  0.803  0.244  0.603

Largest 10 diffraction maxima, by angle, 10° ≤ 2θ ≤ 90°:
d = 5.233 Å, I 512; d = 4.445 Å, I 493; d = 4.373 Å, I 488; d = 3.593 Å, I 374; d = 3.568 Å, I 530; d = 3.113 Å, I 1000; d = 2.642 Å, I 362; d = 2.584 Å, I 466; d = 2.545 Å, I 337; d = 2.532 Å, I 480

The following is a simulated powder X-ray diffraction pattern of Li4Mn3Co3Te2O16. It was derived from a GGA+U-relaxed structure, using Cu Kα X-rays.

Structural model:
Cell: 5.902 5.917 9.694 Å, 90.87 90.09 119.46°
Positions (direct):
Li  0.000  0.000  0.000
Li  0.000  0.001  0.497
Li  0.324  0.659  0.917
Li  0.661  0.329  0.422
Mn  0.172  0.345  0.226
Mn  0.341  0.171  0.726
Mn  0.828  0.173  0.726
Co  0.179  0.834  0.228
Co  0.654  0.836  0.221
Co  0.824  0.660  0.723
Te  0.333  0.670  0.497
Te  0.667  0.337  0.995
O  0.006  0.014  0.812
O  0.012  0.007  0.307
O  0.033  0.509  0.358
O  0.166  0.336  0.602
O  0.168  0.835  0.599
O  0.311  0.657  0.120
O  0.338  0.172  0.101
O  0.470  0.510  0.359
O  0.473  0.963  0.366
O  0.500  0.466  0.859
O  0.516  0.033  0.852
O  0.654  0.315  0.624
O  0.665  0.836  0.597
O  0.828  0.663  0.095
O  0.831  0.171  0.100
O  0.958  0.468  0.858

Largest 10 diffraction maxima, by angle, 10° ≤ 2θ ≤ 90°:
d = 4.583 Å, I 332; d = 4.560 Å, I 345; d = 4.522 Å, I 1000; d = 4.501 Å, I 333; d = 3.502 Å, I 273; d = 2.719 Å, I 359; d = 2.555 Å, I 226; d = 2.520 Å, I 472; d = 2.476 Å, I 295; d = 1.995 Å, I 192

The following is a simulated powder X-ray diffraction pattern of Li4Ti2Mn3Co3O16. It was derived from a GGA+U-relaxed structure, using Cu Kα X-rays.

Structural model:
Cell: 5.781 5.806 9.478 Å, 90.52 90.94 119.09°
Positions (direct):
Li  0.000  0.000  0.000
Li  0.001  0.998  0.502
Li  0.323  0.653  0.405
Li  0.663  0.324  0.904
Ti  0.334  0.652  0.001
Ti  0.660  0.321  0.501
Mn  0.173  0.824  0.724
Mn  0.342  0.162  0.223
Mn  0.829  0.655  0.220
Co  0.165  0.331  0.721
Co  0.660  0.817  0.720
Co  0.831  0.166  0.221
O  0.003  0.001  0.811
O  0.007  0.997  0.313
O  0.034  0.539  0.851
O  0.162  0.327  0.109
O  0.195  0.852  0.095
O  0.328  0.650  0.620
O  0.337  0.133  0.601
O  0.458  0.491  0.853
O  0.487  0.954  0.839
O  0.490  0.448  0.356
O  0.525  0.028  0.340
O  0.660  0.323  0.117
O  0.672  0.832  0.101
O  0.833  0.665  0.605
O  0.851  0.179  0.600
O  0.955  0.470  0.345

Largest 10 diffraction maxima, by angle, 10° ≤ 2θ ≤ 90°:
d = 4.738 Å, I 1000; d = 4.505 Å, I 433; d = 4.432 Å, I 387; d = 4.412 Å, I 384; d = 2.465 Å, I 334; d = 2.452 Å, I 247; d = 2.415 Å, I 264; d = 1.996 Å, I 280; d = 1.961 Å, I 274; d = 1.533 Å, I 204

The following is a simulated powder X-ray diffraction pattern of Li4Ti3Mn3Co2O16. It was derived from a GGA+U-relaxed structure, using Cu Kα X-rays.

Structural model:
Cell: 5.866 5.872 9.734 Å, 89.74 89.60 60.37°
Positions (direct):
Li  0.000  0.000  0.000
Li  0.007  0.990  0.501
Li  0.326  0.316  0.892
Li  0.660  0.658  0.395
Ti  0.134  0.660  0.211
Ti  0.649  0.188  0.226
Ti  0.828  0.818  0.717
Mn  0.174  0.151  0.218
Mn  0.335  0.819  0.718
Mn  0.829  0.324  0.717
Co  0.331  0.322  0.499
Co  0.658  0.654  0.991
O  0.000  0.991  0.316
O  0.000  0.992  0.815
O  0.032  0.467  0.333
O  0.158  0.147  0.611
O  0.158  0.672  0.609
O  0.314  0.832  0.109
O  0.333  0.320  0.109
O  0.479  0.022  0.333
O  0.482  0.475  0.335
O  0.511  0.952  0.832
O  0.513  0.505  0.831
O  0.662  0.651  0.610
O  0.684  0.146  0.609
O  0.840  0.826  0.103
O  0.845  0.308  0.110
O  0.961  0.502  0.832

Largest 10 diffraction maxima, by angle, 10° ≤ 2θ ≤ 90°:
d = 4.867 Å, I 774; d = 4.517 Å, I 1000; d = 4.486 Å, I 243; d = 3.525 Å, I 289; d = 2.741 Å, I 337; d = 2.522 Å, I 394; d = 2.507 Å, I 250; d = 2.467 Å, I 369; d = 2.261 Å, I 248; d = 1.467 Å, I 328

The following is a simulated powder X-ray diffraction pattern of Li4Mn3V2Co3O16. It was derived from a GGA+U-relaxed structure, using Cu Kα X-rays.

Structural model:
Cell: 5.830 5.830 9.488 Å, 90.10 90.10 59.89°
Positions (direct):
Li  0.000  0.000  0.000
Li  0.010  0.010  0.507
Li  0.334  0.334  0.407
Li  0.668  0.668  0.912
Mn  0.180  0.180  0.729
Mn  0.338  0.831  0.224
Mn  0.831  0.338  0.224
V  0.344  0.344  0.993
V  0.677  0.677  0.505
Co  0.177  0.665  0.722
Co  0.665  0.177  0.722
Co  0.831  0.831  0.224
O  0.000  0.000  0.319
O  0.011  0.011  0.811
O  0.037  0.470  0.856
O  0.162  0.676  0.112
O  0.164  0.164  0.113
O  0.335  0.335  0.615
O  0.357  0.846  0.595
O  0.470  0.037  0.856
O  0.482  0.482  0.876
O  0.521  0.521  0.346
O  0.524  0.958  0.344
O  0.667  0.667  0.121
O  0.676  0.162  0.112
O  0.833  0.833  0.584
O  0.846  0.357  0.595
O  0.958  0.524  0.344

Largest 10 diffraction maxima, by angle, 10° ≤ 2θ ≤ 90°:
d = 4.744 Å, I 674; d = 4.455 Å, I 1000; d = 3.457 Å, I 294; d = 2.680 Å, I 367; d = 2.482 Å, I 455; d = 2.438 Å, I 573; d = 2.228 Å, I 253; d = 1.973 Å, I 458; d = 1.517 Å, I 217; d = 1.457 Å, I 256

The following is a simulated powder X-ray diffraction pattern of Li2MnV4CoO12. It was derived from a GGA+U-relaxed structure, using Cu Kα X-rays.

Structural model:
Cell: 6.960 6.960 5.689 Å, 107.40 107.40 76.71°
Positions (direct):
Li  0.000  0.000  0.000
Li  0.558  0.442  0.500
Mn  0.366  0.634  0.000
V  0.112  0.338  0.545
V  0.453  0.102  0.983
V  0.662  0.888  0.455
V  0.898  0.547  0.017
Co  0.200  0.800  0.500
O  0.074  0.713  0.102
O  0.161  0.078  0.433
O  0.282  0.519  0.593
O  0.287  0.926  0.898
O  0.298  0.329  0.929
O  0.481  0.718  0.407
O  0.572  0.132  0.312
O  0.631  0.042  0.803
O  0.671  0.702  0.071
O  0.868  0.428  0.688
O  0.922  0.839  0.567
O  0.958  0.369  0.197

Largest 10 diffraction maxima, by angle, 10° ≤ 2θ ≤ 90°:
d = 6.562 Å, I 472; d = 4.714 Å, I 303; d = 4.319 Å, I 155; d = 3.157 Å, I 1000; d = 3.134 Å, I 449; d = 2.630 Å, I 331; d = 2.518 Å, I 292; d = 2.256 Å, I 220; d = 1.740 Å, I 209; d = 1.735 Å, I 155